Pr3Bi2Se: computed powder diffraction line list (λ = 1.5418 Å (Cu Kα)), based on DFT lattice parameters and positions (GGA-PBE).
Peak positions follow from Bragg's law for the DFT cell and can differ from measured ones.

Atomic structure:
a b c (Å): 15.001 14.300 7.838
angles (deg): 79.48 69.60 30.91
Sites, in units of the cell vectors:
Pr: 0.040 0.538 0.200
Pr: 0.111 0.639 0.639
Pr: 0.200 0.721 0.040
Pr: 0.279 0.800 0.462
Pr: 0.361 0.889 0.889
Pr: 0.462 0.960 0.279
Pr: 0.538 0.040 0.721
Pr: 0.639 0.111 0.111
Pr: 0.721 0.200 0.538
Pr: 0.800 0.279 0.960
Pr: 0.889 0.361 0.361
Pr: 0.960 0.462 0.800
Bi: 0.127 0.127 0.623
Bi: 0.294 0.294 0.456
Bi: 0.377 0.377 0.873
Bi: 0.456 0.456 0.294
Bi: 0.544 0.544 0.706
Bi: 0.623 0.623 0.127
Bi: 0.706 0.706 0.544
Bi: 0.873 0.873 0.377
Se: 0.042 0.042 0.208
Se: 0.208 0.208 0.042
Se: 0.792 0.792 0.958
Se: 0.958 0.958 0.792

Most intense lines, 2θ = 5–70°, in order of falling intensity:
2θ/deg	intensity
27.89	1000
39.85	771
65.22	357
49.34	277
57.63	130
12.42	35
25.96	19
20.31	17
23.28	16
30.64	16